1.
Computed X-ray powder pattern of Cu3S4Br for copper Kα, from a DFT-relaxed cell (PBE, OQMD).
Neutral-atom scattering factors, no anomalous dispersion.

Structural model:
abc: 6.850 6.850 6.850
angles: 133.58 133.58 67.74
Element x y z (fractional)
Cu (0.000, 0.000, 0.000)
Cu (0.250, 0.750, 0.500)
Cu (0.750, 0.250, 0.500)
S (0.035, 0.035, 0.720)
S (0.315, 0.315, 0.280)
S (0.685, 0.965, 0.000)
S (0.965, 0.685, 0.000)
Br (0.500, 0.500, 0.000)

Top 10 peaks for 2θ from 10° to 90°, sorted by position:
2θ/deg, d (Å), I_rel
28.15, 3.170, 100
28.77, 3.103, 13
31.46, 2.844, 16
33.19, 2.700, 32
38.10, 2.362, 10
46.37, 1.958, 31
47.64, 1.909, 14
54.00, 1.698, 25
56.25, 1.635, 42
58.21, 1.585, 16

2.
Computed X-ray powder pattern of Dy2YTm2Lu2Te2Pd2 for copper Kα, from a DFT-relaxed cell (PBE, OQMD).
Neutral-atom scattering factors, no anomalous dispersion.

Structural model:
abc: 9.339 9.339 9.339
angles: 155.78 66.80 118.81
Element x y z (fractional)
Dy (0.145, 0.000, 0.145)
Dy (0.855, 0.000, 0.855)
Y (0.238, 0.738, 0.500)
Tm (0.180, 0.363, 0.818)
Tm (0.545, 0.363, 0.182)
Lu (0.523, 0.153, 0.370)
Lu (0.783, 0.153, 0.630)
Te (0.505, 0.505, 0.000)
Te (0.897, 0.397, 0.500)
Pd (0.409, 0.669, 0.740)
Pd (0.929, 0.669, 0.260)

Top 10 peaks for 2θ from 10° to 90°, sorted by position:
2θ/deg, d (Å), I_rel
11.35, 7.796, 14
30.12, 2.967, 57
33.11, 2.705, 62
33.78, 2.654, 100
34.31, 2.614, 59
36.47, 2.464, 19
38.31, 2.349, 22
46.34, 1.960, 28
58.14, 1.587, 31
58.99, 1.566, 15

3.
Computed X-ray powder pattern of Be2Pt3 for copper Kα, from a DFT-relaxed cell (PBE, OQMD).
Neutral-atom scattering factors, no anomalous dispersion.

Structural model:
abc: 6.007 6.007 3.480
angles: 90.00 90.00 90.00
Element x y z (fractional)
Be (0.133, 0.367, 0.000)
Be (0.367, 0.867, 0.000)
Be (0.633, 0.133, 0.000)
Be (0.867, 0.633, 0.000)
Pt (0.000, 0.000, 0.000)
Pt (0.165, 0.665, 0.500)
Pt (0.335, 0.165, 0.500)
Pt (0.500, 0.500, 0.000)
Pt (0.665, 0.835, 0.500)
Pt (0.835, 0.335, 0.500)

Top 10 peaks for 2θ from 10° to 90°, sorted by position:
2θ/deg, d (Å), I_rel
33.32, 2.689, 100
39.64, 2.274, 55
42.52, 2.126, 70
47.89, 1.900, 36
52.59, 1.740, 15
63.72, 1.461, 16
67.99, 1.379, 12
70.03, 1.344, 18
72.01, 1.311, 22
73.85, 1.283, 20

4.
Computed X-ray powder pattern of AsIrBr6 for copper Kα, from a DFT-relaxed cell (PBE, OQMD).
Neutral-atom scattering factors, no anomalous dispersion.

Structural model:
abc: 6.930 6.930 6.930
angles: 60.00 60.00 60.00
Element x y z (fractional)
As (0.000, 0.000, 0.000)
Ir (0.250, 0.250, 0.250)
Br (0.001, 0.001, 0.499)
Br (0.001, 0.499, 0.001)
Br (0.001, 0.499, 0.499)
Br (0.499, 0.001, 0.001)
Br (0.499, 0.001, 0.499)
Br (0.499, 0.499, 0.001)

Top 10 peaks for 2θ from 10° to 90°, sorted by position:
2θ/deg, d (Å), I_rel
15.66, 5.658, 80
18.10, 4.900, 78
30.25, 2.955, 48
31.63, 2.829, 51
36.68, 2.450, 100
40.11, 2.248, 22
41.19, 2.191, 38
52.85, 1.732, 69
66.05, 1.415, 23
89.43, 1.096, 33